No. 1
Structure and theoretical PXRD pattern of NbTlAgCl6 (a GGA-PBE-relaxed structure; Cu Kα).

Atomic structure:
a b c (Å): 6.979 6.979 13.243
angles (deg): 90.00 90.00 120.00
Fractional positions:
Nb (0.333, 0.667, 0.250)
Nb (0.667, 0.333, 0.750)
Tl (0.000, 0.000, 0.000)
Tl (0.000, 0.000, 0.500)
Ag (0.333, 0.667, 0.750)
Ag (0.667, 0.333, 0.250)
Cl (0.037, 0.393, 0.144)
Cl (0.037, 0.644, 0.356)
Cl (0.356, 0.393, 0.356)
Cl (0.356, 0.963, 0.144)
Cl (0.393, 0.037, 0.644)
Cl (0.393, 0.356, 0.856)
Cl (0.607, 0.644, 0.144)
Cl (0.607, 0.963, 0.356)
Cl (0.644, 0.037, 0.856)
Cl (0.644, 0.607, 0.644)
Cl (0.963, 0.356, 0.644)
Cl (0.963, 0.607, 0.856)

Most intense lines, 2θ from 5° to 70°, in order of rising 2θ:
2θ 19.89, I 100; 2θ 25.53, I 27; 2θ 32.57, I 25; 2θ 37.44, I 51; 2θ 41.83, I 29; 2θ 45.00, I 19

---

No. 2
Structure and theoretical PXRD pattern of RbNdAg2Cl8 (a GGA-PBE-relaxed structure; Cu Kα).

Atomic structure:
a b c (Å): 8.900 8.900 8.900
angles (deg): 134.64 134.64 66.10
Fractional positions:
Rb (0.000, 0.000, 0.000)
Nd (0.250, 0.750, 0.500)
Ag (0.500, 0.500, 0.000)
Ag (0.750, 0.250, 0.500)
Cl (0.281, 0.695, 0.160)
Cl (0.305, 0.465, 0.586)
Cl (0.401, 0.023, 0.042)
Cl (0.535, 0.121, 0.840)
Cl (0.640, 0.599, 0.621)
Cl (0.879, 0.719, 0.414)
Cl (0.977, 0.019, 0.379)
Cl (0.981, 0.360, 0.958)

Most intense lines, 2θ from 5° to 70°, in order of rising 2θ:
2θ 21.85, I 100; 2θ 35.55, I 37; 2θ 37.05, I 19; 2θ 40.77, I 26; 2θ 43.42, I 44; 2θ 44.54, I 18

---

No. 3
Structure and theoretical PXRD pattern of NiAg5Cl8 (a GGA-PBE-relaxed structure; Cu Kα).

Atomic structure:
a b c (Å): 7.804 7.804 7.804
angles (deg): 60.00 60.00 60.00
Fractional positions:
Ni (0.000, 0.000, 0.000)
Ag (0.374, 0.374, 0.374)
Ag (0.374, 0.374, 0.877)
Ag (0.374, 0.877, 0.374)
Ag (0.750, 0.750, 0.750)
Ag (0.877, 0.374, 0.374)
Cl (0.119, 0.119, 0.119)
Cl (0.119, 0.119, 0.644)
Cl (0.119, 0.644, 0.119)
Cl (0.146, 0.618, 0.618)
Cl (0.618, 0.146, 0.618)
Cl (0.618, 0.618, 0.146)
Cl (0.618, 0.618, 0.618)
Cl (0.644, 0.119, 0.119)

Most intense lines, 2θ from 5° to 70°, in order of rising 2θ:
2θ 22.79, I 20; 2θ 26.79, I 100; 2θ 32.45, I 38; 2θ 42.56, I 38; 2θ 46.55, I 68; 2θ 64.89, I 22

---

No. 4
Structure and theoretical PXRD pattern of NiAg5Cl12 (a GGA-PBE-relaxed structure; Cu Kα).

Atomic structure:
a b c (Å): 6.784 6.784 12.641
angles (deg): 94.55 94.55 122.91
Fractional positions:
Ni (0.000, 0.000, 0.000)
Ag (0.167, 0.833, 0.500)
Ag (0.332, 0.668, 0.000)
Ag (0.500, 0.500, 0.500)
Ag (0.668, 0.332, 0.000)
Ag (0.833, 0.167, 0.500)
Cl (0.052, 0.325, 0.100)
Cl (0.159, 0.159, 0.385)
Cl (0.175, 0.509, 0.616)
Cl (0.230, 0.230, 0.886)
Cl (0.325, 0.052, 0.100)
Cl (0.491, 0.825, 0.384)
Cl (0.509, 0.175, 0.616)
Cl (0.675, 0.948, 0.900)
Cl (0.770, 0.770, 0.114)
Cl (0.825, 0.491, 0.384)
Cl (0.841, 0.841, 0.615)
Cl (0.948, 0.675, 0.900)

Most intense lines, 2θ from 5° to 70°, in order of rising 2θ:
2θ 14.21, I 100; 2θ 26.76, I 23; 2θ 27.98, I 25; 2θ 32.69, I 25; 2θ 35.72, I 21; 2θ 47.92, I 15

---

No. 5
Structure and theoretical PXRD pattern of Ni2AgCl8 (a GGA-PBE-relaxed structure; Cu Kα).

Atomic structure:
a b c (Å): 9.505 9.505 12.115
angles (deg): 123.20 123.20 52.23
Fractional positions:
Ni (0.154, 0.664, 0.961)
Ni (0.336, 0.846, 0.539)
Ni (0.664, 0.154, 0.461)
Ni (0.846, 0.336, 0.039)
Ag (0.006, 0.994, 0.750)
Ag (0.994, 0.006, 0.250)
Cl (0.122, 0.244, 0.049)
Cl (0.147, 0.698, 0.792)
Cl (0.151, 0.739, 0.337)
Cl (0.244, 0.122, 0.549)
Cl (0.261, 0.849, 0.163)
Cl (0.302, 0.853, 0.708)
Cl (0.334, 0.379, 0.949)
Cl (0.379, 0.334, 0.449)
Cl (0.621, 0.666, 0.551)
Cl (0.666, 0.621, 0.051)
Cl (0.698, 0.147, 0.292)
Cl (0.739, 0.151, 0.837)
Cl (0.756, 0.878, 0.451)
Cl (0.849, 0.261, 0.663)
Cl (0.853, 0.302, 0.208)
Cl (0.878, 0.756, 0.951)

Most intense lines, 2θ from 5° to 70°, in order of rising 2θ:
2θ 12.44, I 91; 2θ 13.09, I 100; 2θ 17.74, I 50; 2θ 19.06, I 45; 2θ 28.62, I 62; 2θ 30.02, I 58

---

No. 6
Structure and theoretical PXRD pattern of Ni2Ag4Cl9 (a GGA-PBE-relaxed structure; Cu Kα).

Atomic structure:
a b c (Å): 6.688 6.691 18.381
angles (deg): 79.55 84.92 60.09
Fractional positions:
Ni (0.231, 0.337, 0.166)
Ni (0.268, 0.235, 0.334)
Ni (0.732, 0.765, 0.666)
Ni (0.769, 0.663, 0.834)
Ag (0.060, 0.168, 0.560)
Ag (0.104, 0.000, 0.830)
Ag (0.397, 0.432, 0.670)
Ag (0.440, 0.289, 0.941)
Ag (0.560, 0.711, 0.059)
Ag (0.603, 0.568, 0.330)
Ag (0.896, 0.000, 0.170)
Ag (0.940, 0.832, 0.440)
Cl (0.020, 0.790, 0.586)
Cl (0.034, 0.431, 0.746)
Cl (0.057, 0.648, 0.903)
Cl (0.198, 0.676, 0.095)
Cl (0.248, 0.016, 0.250)
Cl (0.301, 0.471, 0.405)
Cl (0.444, 0.107, 0.597)
Cl (0.468, 0.710, 0.754)
Cl (0.481, 0.897, 0.914)
Cl (0.519, 0.103, 0.086)
Cl (0.532, 0.290, 0.246)
Cl (0.556, 0.893, 0.403)
Cl (0.699, 0.529, 0.595)
Cl (0.752, 0.984, 0.750)
Cl (0.802, 0.324, 0.905)
Cl (0.943, 0.352, 0.097)
Cl (0.966, 0.569, 0.254)
Cl (0.980, 0.210, 0.414)

Most intense lines, 2θ from 5° to 70°, in order of rising 2θ:
2θ 21.26, I 78; 2θ 23.08, I 100; 2θ 26.68, I 83; 2θ 26.99, I 65; 2θ 47.17, I 41; 2θ 47.29, I 47

---

No. 7
Structure and theoretical PXRD pattern of SrNiAg2Cl8 (a GGA-PBE-relaxed structure; Cu Kα).

Atomic structure:
a b c (Å): 6.409 7.755 6.608
angles (deg): 90.00 94.78 90.00
Fractional positions:
Sr (0.000, 0.000, 0.000)
Ni (0.000, 0.500, 0.000)
Ag (0.500, 0.266, 0.500)
Ag (0.500, 0.734, 0.500)
Cl (0.187, 0.303, 0.849)
Cl (0.187, 0.697, 0.849)
Cl (0.284, 0.500, 0.316)
Cl (0.287, 0.000, 0.361)
Cl (0.713, 0.000, 0.639)
Cl (0.716, 0.500, 0.684)
Cl (0.813, 0.303, 0.151)
Cl (0.813, 0.697, 0.151)

Most intense lines, 2θ from 5° to 70°, in order of rising 2θ:
2θ 18.53, I 100; 2θ 20.16, I 74; 2θ 26.90, I 36; 2θ 37.63, I 39; 2θ 38.15, I 40; 2θ 39.87, I 32

---

No. 8
Structure and theoretical PXRD pattern of TlNi2AgCl (a GGA-PBE-relaxed structure; Cu Kα).

Atomic structure:
a b c (Å): 4.169 4.169 6.006
angles (deg): 90.00 90.00 90.00
Fractional positions:
Tl (0.000, 0.000, 0.000)
Ni (0.000, 0.500, 0.500)
Ni (0.500, 0.000, 0.500)
Ag (0.500, 0.500, 0.000)
Cl (0.000, 0.000, 0.500)

Most intense lines, 2θ from 5° to 70°, in order of rising 2θ:
2θ 14.75, I 21; 2θ 29.75, I 49; 2θ 33.87, I 100; 2θ 43.41, I 34; 2θ 53.51, I 36; 2θ 55.48, I 24

---

No. 9
Structure and theoretical PXRD pattern of Np2AgCl11 (a GGA-PBE-relaxed structure; Cu Kα).

Atomic structure:
a b c (Å): 11.562 11.562 11.562
angles (deg): 126.99 97.03 106.01
Fractional positions:
Np (0.081, 0.230, 0.312)
Np (0.419, 0.730, 0.149)
Np (0.581, 0.270, 0.851)
Np (0.919, 0.770, 0.688)
Ag (0.250, 0.750, 0.500)
Ag (0.750, 0.250, 0.500)
Cl (0.000, 0.000, 0.000)
Cl (0.050, 0.020, 0.326)
Cl (0.100, 0.438, 0.284)
Cl (0.154, 0.815, 0.716)
Cl (0.158, 0.440, 0.598)
Cl (0.194, 0.520, 0.970)
Cl (0.306, 0.276, 0.326)
Cl (0.342, 0.940, 0.282)
Cl (0.346, 0.062, 0.661)
Cl (0.400, 0.685, 0.339)
Cl (0.450, 0.776, 0.970)
Cl (0.500, 0.500, 0.000)
Cl (0.550, 0.224, 0.030)
Cl (0.600, 0.315, 0.661)
Cl (0.654, 0.938, 0.339)
Cl (0.658, 0.060, 0.718)
Cl (0.694, 0.724, 0.674)
Cl (0.806, 0.480, 0.030)
Cl (0.842, 0.560, 0.402)
Cl (0.846, 0.185, 0.284)
Cl (0.900, 0.562, 0.716)
Cl (0.950, 0.980, 0.674)

Most intense lines, 2θ from 5° to 70°, in order of rising 2θ:
2θ 11.55, I 42; 2θ 12.72, I 41; 2θ 15.75, I 100; 2θ 21.44, I 26; 2θ 24.03, I 26; 2θ 31.51, I 27

---

No. 10
Structure and theoretical PXRD pattern of NpAg5Cl12 (a GGA-PBE-relaxed structure; Cu Kα).

Atomic structure:
a b c (Å): 6.714 6.716 13.086
angles (deg): 79.85 87.06 65.21
Fractional positions:
Np (0.000, 0.000, 0.000)
Ag (0.000, 0.500, 0.500)
Ag (0.319, 0.438, 0.816)
Ag (0.331, 0.844, 0.505)
Ag (0.669, 0.156, 0.495)
Ag (0.681, 0.562, 0.184)
Cl (0.028, 0.250, 0.120)
Cl (0.052, 0.823, 0.393)
Cl (0.295, 0.656, 0.108)
Cl (0.297, 0.057, 0.885)
Cl (0.303, 0.509, 0.620)
Cl (0.372, 0.163, 0.386)
Cl (0.628, 0.837, 0.614)
Cl (0.697, 0.491, 0.380)
Cl (0.703, 0.943, 0.115)
Cl (0.705, 0.344, 0.892)
Cl (0.948, 0.177, 0.607)
Cl (0.972, 0.750, 0.880)

Most intense lines, 2θ from 5° to 70°, in order of rising 2θ:
2θ 13.75, I 100; 2θ 16.25, I 47; 2θ 18.10, I 48; 2θ 18.40, I 52; 2θ 24.93, I 57; 2θ 44.60, I 53

---

No. 11
Structure and theoretical PXRD pattern of Ag3ClO2 (a GGA-PBE-relaxed structure; Cu Kα).

Atomic structure:
a b c (Å): 7.127 7.127 4.991
angles (deg): 90.00 90.00 64.26
Fractional positions:
Ag (0.144, 0.330, 0.750)
Ag (0.184, 0.816, 0.750)
Ag (0.330, 0.144, 0.250)
Ag (0.670, 0.856, 0.750)
Ag (0.816, 0.184, 0.250)
Ag (0.856, 0.670, 0.250)
Cl (0.236, 0.764, 0.250)
Cl (0.764, 0.236, 0.750)
O (0.007, 0.342, 0.250)
O (0.342, 0.007, 0.750)
O (0.658, 0.993, 0.250)
O (0.993, 0.658, 0.750)

Most intense lines, 2θ from 5° to 70°, in order of rising 2θ:
2θ 13.79, I 31; 2θ 27.80, I 41; 2θ 29.60, I 70; 2θ 33.18, I 100; 2θ 35.99, I 47; 2θ 47.26, I 31

---

No. 12
Structure and theoretical PXRD pattern of Ag4Cl5O (a GGA-PBE-relaxed structure; Cu Kα).

Atomic structure:
a b c (Å): 7.875 7.875 7.501
angles (deg): 105.40 105.40 28.67
Fractional positions:
Ag (0.002, 0.002, 0.259)
Ag (0.347, 0.347, 0.413)
Ag (0.653, 0.653, 0.587)
Ag (0.998, 0.998, 0.741)
Cl (0.165, 0.165, 0.827)
Cl (0.170, 0.170, 0.337)
Cl (0.500, 0.500, 0.000)
Cl (0.830, 0.830, 0.663)
Cl (0.835, 0.835, 0.173)
O (0.500, 0.500, 0.500)

Most intense lines, 2θ from 5° to 70°, in order of rising 2θ:
2θ 12.06, I 21; 2θ 12.27, I 46; 2θ 33.15, I 100; 2θ 36.74, I 34; 2θ 49.74, I 27; 2θ 50.88, I 26